The following is a theoretical powder XRD pattern of Fe4Mo2N. It was derived from a crystal structure in Alexandria, relaxed with PBE, using λ = 1.5418 Å (Cu Kα).

Crystal structure
```
Fe4Mo2N
1.0
-3.873 3.873 5.408
3.873 -3.873 5.408
3.873 3.873 -5.408
Fe Mo N
16 8 4
Direct
0.000 0.665 0.335 Fe
0.123 0.876 0.248 Fe
0.124 0.372 0.248 Fe
0.124 0.877 0.752 Fe
0.242 0.081 0.161 Fe
0.304 0.304 0.607 Fe
0.304 0.696 0.000 Fe
0.329 0.665 0.665 Fe
0.335 0.000 0.665 Fe
0.335 0.671 0.335 Fe
0.628 0.876 0.752 Fe
0.696 0.304 0.000 Fe
0.696 0.696 0.393 Fe
0.919 0.080 0.161 Fe
0.919 0.758 0.839 Fe
0.920 0.081 0.839 Fe
0.308 0.308 0.000 Mo
0.552 0.052 0.104 Mo
0.552 0.448 0.500 Mo
0.553 0.053 0.500 Mo
0.692 0.692 0.000 Mo
0.947 0.447 0.500 Mo
0.948 0.052 0.500 Mo
0.948 0.448 0.896 Mo
0.137 0.383 0.754 N
0.617 0.371 0.754 N
0.617 0.863 0.246 N
0.629 0.383 0.246 N
```

Peak list (6 most intense, 15° ≤ 2θ ≤ 90°, by intensity)
2θ/deg  intensity
42.9  1000
43.1  663
40.4  613
43.4  525
47.2  493
73.4  389

***

The following is a theoretical powder XRD pattern of NaTl2InBr4. It was derived from a crystal structure in Alexandria, relaxed with PBE, using λ = 1.5418 Å (Cu Kα).

Crystal structure
```
NaTl2InBr4
1.0
8.049 0.000 0.000
0.000 4.621 0.000
-2.639 0.000 7.618
Na Tl In Br
1 2 1 4
Direct
0.000 0.000 0.000 Na
0.500 0.000 0.500 Tl
0.500 0.500 0.000 Tl
0.000 0.500 0.500 In
0.229 0.500 0.231 Br
0.235 0.000 0.761 Br
0.765 0.000 0.239 Br
0.771 0.500 0.769 Br
```

Peak list (6 most intense, 15° ≤ 2θ ≤ 90°, by intensity)
2θ/deg  intensity
27.2  1000
38.8  506
22.5  173
63.3  171
48.2  137
47.8  134

***

The following is a theoretical powder XRD pattern of CeI4O12. It was derived from a crystal structure in Alexandria, relaxed with PBE, using λ = 1.5418 Å (Cu Kα).

Crystal structure
```
CeI4O12
1.0
10.272 0.000 0.000
0.000 10.272 0.000
0.000 0.000 5.385
Ce I O
2 8 24
Direct
0.250 0.250 0.250 Ce
0.750 0.750 0.750 Ce
0.021 0.748 0.215 I
0.248 0.979 0.715 I
0.252 0.521 0.715 I
0.479 0.752 0.215 I
0.521 0.248 0.785 I
0.748 0.479 0.285 I
0.752 0.021 0.285 I
0.979 0.252 0.785 I
0.056 0.326 0.061 O
0.101 0.320 0.563 O
0.131 0.850 0.758 O
0.150 0.631 0.258 O
0.174 0.056 0.439 O
0.180 0.101 0.937 O
0.320 0.399 0.937 O
0.326 0.444 0.439 O
0.350 0.869 0.258 O
0.369 0.650 0.758 O
0.399 0.180 0.563 O
0.444 0.174 0.061 O
0.556 0.826 0.939 O
0.601 0.820 0.437 O
0.631 0.350 0.242 O
0.650 0.131 0.742 O
0.674 0.556 0.561 O
0.680 0.601 0.063 O
0.820 0.899 0.063 O
0.826 0.944 0.561 O
0.850 0.369 0.742 O
0.869 0.150 0.242 O
0.899 0.680 0.437 O
0.944 0.674 0.939 O
```

Peak list (6 most intense, 15° ≤ 2θ ≤ 90°, by intensity)
2θ/deg  intensity
25.5  1000
50.8  321
24.5  267
35.7  230
34.9  179
49.0  150